Structure and computed powder X-ray diffraction pattern of PrNdTh2As4 (a crystal structure in Alexandria, relaxed with GGA-PBE; Cu Kα).
Intensities are scaled so that the largest is 100.

Top 8 peaks for 10° ≤ 2θ ≤ 90°, sorted by position:
hkl  d (Å)  2θ/deg  I/Imax
2 0 0  3.488  25.5  31
1 1 1  3.021  29.6  100
0 2 0  2.136  42.3  63
4 0 -2  1.822  50.1  13
0 0 4  1.745  52.4  20
2 2 2  1.510  61.4  13
1 3 1  1.351  69.6  23
4 2 -4  1.234  77.3  15

Atomic structure:
Cell: 7.392 4.276 7.403 Å, 90.00 109.58 90.00°
Space group P2/m (No. 10)
Inequivalent atoms, fractional coordinates:
Pr (0.000, 0.000, 0.000) (multiplicity 1)
Nd (0.000, 0.500, 0.500) (multiplicity 1)
Th (0.500, 0.000, 0.500) (multiplicity 1)
Th (0.500, 0.500, 0.000) (multiplicity 1)
As (0.254, 0.000, 0.751) (multiplicity 2)
As (0.255, 0.500, 0.253) (multiplicity 2)